1.
Structure and calculated PXRD pattern of CsAcCrF6 (a cell relaxed with PBE+U; λ = 1.5418 Å (Cu Kα)).
Lines closer than 0.1° are merged.

Structural model:
a = 8.0797 Å, b = 8.2263 Å, c = 10.7279 Å
α = 90.00°, β = 90.00°, γ = 90.00°
Space group Imma (No. 74)
Inequivalent atoms, fractional coordinates:
Cs  0.0000  0.2500  0.0839 [4 per cell]
Ac  0.0000  0.0000  0.5000 [4 per cell]
Cr  0.2500  0.2500  0.7500 [4 per cell]
F  0.0000  0.2500  0.3722 [4 per cell]
F  0.0000  0.2500  0.6403 [4 per cell]
F  0.2336  0.0693  0.8819 [16 per cell]

Most intense lines, 15° ≤ 2θ ≤ 90°, by angle:
- 16.53 deg, I = 41, hkl 0 0 2
- 22.00 deg, I = 26, hkl 2 0 0
- 25.68 deg, I = 100, hkl 1 2 1
- 25.94 deg, I = 22, hkl 2 1 1
- 27.24 deg, I = 30, hkl 1 0 3
- 27.32 deg, I = 23, hkl 0 2 2
- 27.64 deg, I = 49, hkl 2 0 2
- 35.06 deg, I = 32, hkl 1 2 3
- 40.93 deg, I = 33, hkl 3 2 1
- 46.25 deg, I = 45, hkl 2 2 4



2.
Structure and calculated PXRD pattern of CsAcCrO4 (a cell relaxed with PBE+U; λ = 1.5418 Å (Cu Kα)).
Lines closer than 0.1° are merged.

Structural model:
a = 6.2994 Å, b = 6.0785 Å, c = 8.2030 Å
α = 90.00°, β = 106.16°, γ = 90.00°
Space group P2_1/m (No. 11)
Inequivalent atoms, fractional coordinates:
Cs  0.1996  0.2500  0.4248 [2 per cell]
Ac  0.2786  0.2500  0.9493 [2 per cell]
Cr  0.2577  0.7500  0.1661 [2 per cell]
O  0.0763  0.7500  0.2983 [2 per cell]
O  0.0775  0.7500  0.9546 [2 per cell]
O  0.4497  0.5224  0.1761 [4 per cell]

Most intense lines, 15° ≤ 2θ ≤ 90°, by angle:
- 20.71 deg, I = 100, hkl 1 1 0
- 22.57 deg, I = 24, hkl 0 0 2
- 26.97 deg, I = 54, hkl 0 1 2
- 27.56 deg, I = 48, hkl 1 1 -2
- 29.39 deg, I = 50, hkl 0 2 0
- 29.53 deg, I = 30, hkl 2 0 0
- 33.80 deg, I = 35, hkl 1 1 2
- 35.23 deg, I = 30, hkl 2 1 -2
- 42.15 deg, I = 31, hkl 2 2 0
- 53.96 deg, I = 21, hkl 1 2 -4



3.
Structure and calculated PXRD pattern of Cs4Ac3CrO8 (a cell relaxed with PBE+U; λ = 1.5418 Å (Cu Kα)).
Lines closer than 0.1° are merged.

Structural model:
a = 13.7834 Å, b = 7.3296 Å, c = 8.0116 Å
α = 90.00°, β = 117.99°, γ = 90.00°
Space group C2/m (No. 12)
Inequivalent atoms, fractional coordinates:
Cs  0.0000  0.0000  0.0000 [2 per cell]
Cs  0.0000  0.5000  0.0000 [2 per cell]
Cs  0.2500  0.2500  0.0000 [4 per cell]
Ac  0.0000  0.0000  0.5000 [2 per cell]
Ac  0.2500  0.2500  0.5000 [4 per cell]
Cr  0.0000  0.5000  0.5000 [2 per cell]
O  0.0326  0.2992  0.3615 [8 per cell]
O  0.2076  0.0000  0.6743 [4 per cell]
O  0.2189  0.0000  0.2771 [4 per cell]

Most intense lines, 15° ≤ 2θ ≤ 90°, by angle:
- 25.18 deg, I = 75, hkl 0 0 2
- 28.32 deg, I = 51, hkl 4 0 -2
- 28.43 deg, I = 100, hkl 2 2 0
- 29.35 deg, I = 65, hkl 4 0 0
- 33.26 deg, I = 93, hkl 2 2 -2
- 42.90 deg, I = 42, hkl 2 2 2
- 46.91 deg, I = 35, hkl 6 2 -2
- 51.49 deg, I = 23, hkl 6 2 0
- 52.91 deg, I = 22, hkl 2 2 -4
- 56.38 deg, I = 18, hkl 6 2 -4



4.
Structure and calculated PXRD pattern of Cs2AcCr2O7 (a cell relaxed with PBE+U; λ = 1.5418 Å (Cu Kα)).
Lines closer than 0.1° are merged.

Structural model:
a = 6.3644 Å, b = 6.3644 Å, c = 22.5692 Å
α = 90.00°, β = 90.00°, γ = 120.00°
Space group R-3m (No. 166, hexagonal axes)
Inequivalent atoms, fractional coordinates:
Cs  0.0000  0.0000  0.2249 [6 per cell]
Ac  0.0000  0.0000  0.0000 [3 per cell]
Cr  0.0000  0.0000  0.4204 [6 per cell]
O  0.0000  0.0000  0.5000 [3 per cell]
O  0.0297  0.5149  0.2682 [18 per cell]

Most intense lines, 15° ≤ 2θ ≤ 90°, by angle:
- 16.56 deg, I = 18, hkl 1 0 1
- 22.55 deg, I = 68, hkl 1 0 4
- 25.51 deg, I = 98, hkl 0 1 5
- 28.04 deg, I = 100, hkl 1 1 0
- 36.28 deg, I = 36, hkl 0 2 4
- 38.27 deg, I = 24, hkl 2 0 5
- 46.08 deg, I = 47, hkl 1 1 9
- 46.47 deg, I = 23, hkl 2 1 4
- 48.10 deg, I = 31, hkl 1 2 5
- 49.62 deg, I = 20, hkl 3 0 0



5.
Structure and calculated PXRD pattern of Rb2AcCrF8 (a cell relaxed with PBE+U; λ = 1.5418 Å (Cu Kα)).
Lines closer than 0.1° are merged.

Structural model:
a = 4.4592 Å, b = 7.5367 Å, c = 6.4529 Å
α = 90.00°, β = 95.18°, γ = 90.00°
Space group P2/m (No. 10)
Inequivalent atoms, fractional coordinates:
Rb  0.0000  0.2261  0.0000 [2 per cell]
Ac  0.5000  0.5000  0.5000 [1 per cell]
Cr  0.5000  0.0000  0.5000 [1 per cell]
F  0.0120  0.5000  0.2875 [2 per cell]
F  0.1318  0.0000  0.3246 [2 per cell]
F  0.4154  0.2089  0.6853 [4 per cell]

Most intense lines, 15° ≤ 2θ ≤ 90°, by angle:
- 18.14 deg, I = 40, hkl 0 1 1
- 23.29 deg, I = 96, hkl 1 0 -1
- 25.39 deg, I = 67, hkl 1 0 1
- 27.44 deg, I = 100, hkl 0 2 1
- 27.76 deg, I = 27, hkl 0 0 2
- 31.13 deg, I = 36, hkl 1 2 0
- 40.63 deg, I = 24, hkl 2 0 0
- 40.89 deg, I = 59, hkl 1 2 -2
- 43.46 deg, I = 34, hkl 1 2 2
- 48.89 deg, I = 30, hkl 0 2 3